(1)
For AcSm4Y15, a GGA-PBE-relaxed structure gives the theoretical powder diffractogram in this record (Cu Ka).

Top 10 peaks for 15 to 90 degrees two-theta, in order of rising 2θ:
- hkl 0 0 5, 2θ = 17.40°, I = 8
- hkl 1 1 0, 2θ = 24.71°, I = 7
- hkl 1 1 5, 2θ = 30.38°, I = 100
- hkl 2 0 0, 2θ = 35.23°, I = 50
- hkl 2 2 0, 2θ = 50.67°, I = 35
- hkl 3 1 5, 2θ = 60.19°, I = 28
- hkl 1 1 15, 2θ = 60.32°, I = 13
- hkl 2 2 10, 2θ = 63.21°, I = 12
- hkl 3 1 15, 2θ = 82.56°, I = 11
- hkl 4 2 0, 2θ = 85.09°, I = 10

```
data_AcSm4Y15
_symmetry_space_group_name_H-M 'P 4/m m m'
_symmetry_Int_Tables_number 123
_symmetry_space_group_name_Hall '-P 4 2'
_cell_length_a 5.100
_cell_length_b 5.100
_cell_length_c 25.431
_cell_angle_alpha 90.00
_cell_angle_beta 90.00
_cell_angle_gamma 90.00
loop_
_atom_site_label
_atom_site_type_symbol
_atom_site_fract_x
_atom_site_fract_y
_atom_site_fract_z
Ac1 Ac 0.000 0.000 0.000
Sm1 Sm 0.000 0.000 0.202
Sm2 Sm 0.000 0.000 0.401
Y1 Y 0.000 0.500 0.104
Y2 Y 0.000 0.500 0.302
Y3 Y 0.000 0.500 0.500
Y4 Y 0.500 0.500 0.000
Y5 Y 0.500 0.500 0.203
Y6 Y 0.500 0.500 0.401
```

=====

(2)
For Ac3Sm4Y, a GGA-PBE-relaxed structure gives the theoretical powder diffractogram in this record (Cu Ka).

Top 10 peaks for 15 to 90 degrees two-theta, in order of rising 2θ:
- hkl 1 2 2, 2θ = 29.09°, I = 100
- hkl 2 0 0, 2θ = 33.58°, I = 17
- hkl 0 4 0, 2θ = 33.79°, I = 33
- hkl 2 4 0, 2θ = 48.37°, I = 25
- hkl 0 4 4, 2θ = 48.53°, I = 12
- hkl 3 2 2, 2θ = 57.30°, I = 15
- hkl 1 6 2, 2θ = 57.58°, I = 28
- hkl 2 4 4, 2θ = 60.31°, I = 12
- hkl 3 6 2, 2θ = 78.32°, I = 12
- hkl 4 4 0, 2θ = 80.58°, I = 6

```
data_Ac3Sm4Y
_symmetry_space_group_name_H-M 'P m m n'
_symmetry_Int_Tables_number 59
_cell_length_a 5.338
_cell_length_b 10.612
_cell_length_c 10.611
_cell_angle_alpha 90.00
_cell_angle_beta 90.00
_cell_angle_gamma 90.00
loop_
_symmetry_equiv_pos_as_xyz
'x,y,z'
'-x,-y,-z'
'-x+1/2,-y+1/2,z'
'x+1/2,y+1/2,-z'
'x+1/2,-y,-z'
'-x+1/2,y,z'
'-x,y+1/2,-z'
'x,-y+1/2,z'
loop_
_atom_site_label
_atom_site_type_symbol
_atom_site_fract_x
_atom_site_fract_y
_atom_site_fract_z
Ac1 Ac 0.250 0.004 0.133
Ac2 Ac 0.250 0.250 0.866
Sm1 Sm 0.250 0.250 0.383
Sm2 Sm 0.250 0.504 0.616
Sm3 Sm 0.250 0.750 0.386
Y1 Y 0.250 0.750 0.863
```

=====

(3)
For AcSm4Y, a GGA-PBE-relaxed structure gives the theoretical powder diffractogram in this record (Cu Ka).

Top 10 peaks for 15 to 90 degrees two-theta, in order of rising 2θ:
- hkl 3 1 -1, 2θ = 29.69°, I = 100
- hkl 0 0 2, 2θ = 29.94°, I = 33
- hkl 3 1 1, 2θ = 34.38°, I = 45
- hkl 6 0 -2, 2θ = 34.71°, I = 23
- hkl 9 1 -1, 2θ = 49.51°, I = 16
- hkl 3 1 -3, 2θ = 49.80°, I = 16
- hkl 6 2 0, 2θ = 58.54°, I = 10
- hkl 0 2 2, 2θ = 58.71°, I = 19
- hkl 3 1 3, 2θ = 59.02°, I = 14
- hkl 9 1 -3, 2θ = 59.14°, I = 10

```
data_AcSm4Y
_symmetry_space_group_name_H-M 'C 1 2/m 1'
_symmetry_Int_Tables_number 12
_cell_length_a 19.094
_cell_length_b 3.704
_cell_length_c 6.319
_cell_angle_alpha 90.00
_cell_angle_beta 109.17
_cell_angle_gamma 90.00
loop_
_symmetry_equiv_pos_as_xyz
'x,y,z'
'-x,-y,-z'
'-x,y,-z'
'x,-y,z'
'x+1/2,y+1/2,z'
'-x+1/2,-y+1/2,-z'
'-x+1/2,y+1/2,-z'
'x+1/2,-y+1/2,z'
loop_
_atom_site_label
_atom_site_type_symbol
_atom_site_fract_x
_atom_site_fract_y
_atom_site_fract_z
Ac1 Ac 0.000 0.000 0.000
Sm1 Sm 0.168 0.000 0.501
Sm2 Sm 0.170 0.500 0.002
Y1 Y 0.000 0.500 0.500
```

=====

(4)
For AcSm2Zn3, a GGA-PBE-relaxed structure gives the theoretical powder diffractogram in this record (Cu Ka).

Top 10 peaks for 15 to 90 degrees two-theta, in order of rising 2θ:
- hkl 0 0 3, 2θ = 23.85°, I = 22
- hkl 1 1 0, 2θ = 33.98°, I = 100
- hkl 1 1 3, 2θ = 41.94°, I = 7
- hkl 2 0 0, 2θ = 48.81°, I = 18
- hkl 1 0 6, 2θ = 55.04°, I = 10
- hkl 2 1 3, 2θ = 60.81°, I = 35
- hkl 2 2 0, 2θ = 71.52°, I = 10
- hkl 2 1 6, 2θ = 76.61°, I = 5
- hkl 3 1 0, 2θ = 81.55°, I = 11
- hkl 1 0 9, 2θ = 81.67°, I = 4

```
data_AcSm2Zn3
_symmetry_space_group_name_H-M 'P 4/m m m'
_symmetry_Int_Tables_number 123
_symmetry_space_group_name_Hall '-P 4 2'
_cell_length_a 3.733
_cell_length_b 3.733
_cell_length_c 11.183
_cell_angle_alpha 90.00
_cell_angle_beta 90.00
_cell_angle_gamma 90.00
loop_
_atom_site_label
_atom_site_type_symbol
_atom_site_fract_x
_atom_site_fract_y
_atom_site_fract_z
Ac1 Ac 0.000 0.000 0.000
Sm1 Sm 0.000 0.000 0.342
Zn1 Zn 0.500 0.500 0.190
Zn2 Zn 0.500 0.500 0.500
```

=====

(5)
For Ac3SmZn8, a GGA-PBE-relaxed structure gives the theoretical powder diffractogram in this record (Cu Ka).

Top 10 peaks for 15 to 90 degrees two-theta, in order of rising 2θ:
- hkl 1 0 2, 2θ = 26.38°, I = 22
- hkl 1 1 0, 2θ = 30.34°, I = 64
- hkl 0 1 3, 2θ = 34.64°, I = 68
- hkl 2 0 0, 2θ = 35.18°, I = 15
- hkl 1 1 2, 2θ = 36.44°, I = 100
- hkl 0 2 1, 2θ = 36.61°, I = 43
- hkl 3 0 0, 2θ = 53.92°, I = 26
- hkl 1 2 3, 2θ = 56.72°, I = 36
- hkl 3 0 2, 2θ = 57.96°, I = 27
- hkl 2 2 0, 2θ = 63.13°, I = 49

```
data_Ac3SmZn8
_symmetry_space_group_name_H-M 'P 3 m 1'
_symmetry_Int_Tables_number 156
_cell_length_a 5.8915
_cell_length_b 5.8915
_cell_length_c 9.0159
_cell_angle_alpha 90.00
_cell_angle_beta 90.00
_cell_angle_gamma 120.00
loop_
_symmetry_equiv_pos_as_xyz
'x,y,z'
'-y,x-y,z'
'-x+y,-x,z'
'-y,-x,z'
'-x+y,y,z'
'x,x-y,z'
loop_
_atom_site_label
_atom_site_type_symbol
_atom_site_fract_x
_atom_site_fract_y
_atom_site_fract_z
Ac1 Ac 0.0000 0.0000 0.0000
Ac2 Ac 0.0000 0.0000 0.4028
Ac3 Ac 0.3333 0.6667 0.8856
Sm1 Sm 0.3333 0.6667 0.5035
Zn1 Zn 0.0004 0.5002 0.2036
Zn2 Zn 0.3547 0.1774 0.6951
Zn3 Zn 0.6667 0.3333 0.4441
Zn4 Zn 0.6667 0.3333 0.9583
```

=====

(6)
For Ac3Sn2, a GGA-PBE-relaxed structure gives the theoretical powder diffractogram in this record (Cu Ka).

Top 10 peaks for 15 to 90 degrees two-theta, in order of rising 2θ:
- hkl 1 0 1, 2θ = 21.10°, I = 11
- hkl 1 1 0, 2θ = 29.26°, I = 62
- hkl 1 0 5, 2θ = 31.35°, I = 100
- hkl 2 0 0, 2θ = 41.85°, I = 24
- hkl 2 1 5, 2θ = 53.21°, I = 47
- hkl 1 1 10, 2θ = 57.07°, I = 17
- hkl 2 0 10, 2θ = 65.42°, I = 11
- hkl 3 1 0, 2θ = 68.77°, I = 12
- hkl 3 2 5, 2θ = 84.92°, I = 13
- hkl 3 1 10, 2θ = 88.09°, I = 11

```
data_Ac3Sn2
_symmetry_space_group_name_H-M 'I 4/m m m'
_symmetry_Int_Tables_number 139
_symmetry_space_group_name_Hall '-I 4 2'
_cell_length_a 4.317
_cell_length_b 4.317
_cell_length_c 19.011
_cell_angle_alpha 90.00
_cell_angle_beta 90.00
_cell_angle_gamma 90.00
loop_
_atom_site_label
_atom_site_type_symbol
_atom_site_fract_x
_atom_site_fract_y
_atom_site_fract_z
Ac1 Ac 0.000 0.000 0.000
Ac2 Ac 0.000 0.000 0.193
Sn1 Sn 0.000 0.000 0.393
```

=====

(7)
For AcSn2, a GGA-PBE-relaxed structure gives the theoretical powder diffractogram in this record (Cu Ka).

Top 10 peaks for 15 to 90 degrees two-theta, in order of rising 2θ:
- hkl 0 1 2, 2θ = 26.57°, I = 15
- hkl 1 1 0, 2θ = 31.00°, I = 100
- hkl 0 1 3, 2θ = 31.91°, I = 76
- hkl 1 0 3, 2θ = 32.38°, I = 73
- hkl 0 2 0, 2θ = 43.69°, I = 20
- hkl 2 0 0, 2θ = 45.12°, I = 18
- hkl 1 1 5, 2θ = 50.97°, I = 18
- hkl 1 2 3, 2θ = 55.42°, I = 33
- hkl 2 1 3, 2θ = 56.32°, I = 33
- hkl 1 1 6, 2θ = 58.02°, I = 15

```
data_AcSn2
_symmetry_space_group_name_H-M 'P m m m'
_symmetry_Int_Tables_number 47
_cell_length_a 4.019
_cell_length_b 4.143
_cell_length_c 11.429
_cell_angle_alpha 90.00
_cell_angle_beta 90.00
_cell_angle_gamma 90.00
loop_
_symmetry_equiv_pos_as_xyz
'x,y,z'
'-x,-y,-z'
'-x,-y,z'
'x,y,-z'
'x,-y,-z'
'-x,y,z'
'-x,y,-z'
'x,-y,z'
loop_
_atom_site_label
_atom_site_type_symbol
_atom_site_fract_x
_atom_site_fract_y
_atom_site_fract_z
Ac1 Ac 0.000 0.000 0.188
Sn1 Sn 0.000 0.000 0.500
Sn2 Sn 0.500 0.500 0.000
Sn3 Sn 0.500 0.500 0.369
```

=====

(8)
For Ac5Sn, a GGA-PBE-relaxed structure gives the theoretical powder diffractogram in this record (Cu Ka).

Top 10 peaks for 15 to 90 degrees two-theta, in order of rising 2θ:
- hkl 1 1 -2, 2θ = 28.05°, I = 100
- hkl 4 0 -2, 2θ = 28.62°, I = 38
- hkl 2 0 2, 2θ = 29.17°, I = 49
- hkl 3 1 0, 2θ = 29.81°, I = 92
- hkl 0 2 0, 2θ = 41.46°, I = 21
- hkl 5 1 -3, 2θ = 43.68°, I = 15
- hkl 1 1 4, 2θ = 49.94°, I = 17
- hkl 4 2 -2, 2θ = 51.15°, I = 16
- hkl 2 2 2, 2θ = 51.50°, I = 21
- hkl 5 1 2, 2θ = 53.20°, I = 23

```
data_Ac5Sn
_symmetry_space_group_name_H-M 'C 1 2/m 1'
_symmetry_Int_Tables_number 12
_cell_length_a 13.322
_cell_length_b 4.356
_cell_length_c 9.314
_cell_angle_alpha 90.00
_cell_angle_beta 111.55
_cell_angle_gamma 90.00
loop_
_symmetry_equiv_pos_as_xyz
'x,y,z'
'-x,-y,-z'
'-x,y,-z'
'x,-y,z'
'x+1/2,y+1/2,z'
'-x+1/2,-y+1/2,-z'
'-x+1/2,y+1/2,-z'
'x+1/2,-y+1/2,z'
loop_
_atom_site_label
_atom_site_type_symbol
_atom_site_fract_x
_atom_site_fract_y
_atom_site_fract_z
Ac1 Ac 0.000 0.000 0.000
Ac2 Ac 0.143 0.500 0.360
Ac3 Ac 0.165 0.500 0.800
Sn1 Sn 0.000 0.000 0.500
```